For Na2NiPbF6, a structure optimized by DFT (GGA+U) gives the calculated powder diffractogram in this record (Cu Ka).
Kinematic intensities with the Lorentz-polarization factor, no thermal factor.

Principal peaks in the range 10° ≤ 2θ ≤ 90°, low angle first:
h k l, Position (°2θ), I (rel.)
0 1 0, 18.02, 24
1 1 1, 18.94, 14
1 1 0, 21.13, 100
1 0 -1, 29.46, 42
1 -1 0, 29.56, 22
1 1 2, 30.50, 22
1 2 1, 30.67, 33
1 1 -1, 34.78, 15
2 0 1, 35.36, 20
2 0 2, 42.99, 21
-1 2 1, 47.72, 13
0 1 3, 52.80, 13

Cell and atoms:
Lattice parameters (Å, degrees): 5.8311 5.8415 5.8708 62.42 62.38 62.36
Space group P-1 (No. 2)
Symmetry-distinct sites (fractional):
Na: 0.2044 0.2519 0.2497 [2 per cell]
Ni: 0.0000 0.0000 0.0000 [1 per cell]
Pb: 0.5000 0.5000 0.5000 [1 per cell]
F: 0.1331 0.8488 0.3196 [2 per cell]
F: 0.1379 0.3165 0.8526 [2 per cell]
F: 0.3747 0.7815 0.7836 [2 per cell]